# 1
LiSm4H4O8: computed X-ray powder pattern (copper Kα), based on a DFT-relaxed cell (GGA-PBE, Alexandria).
Intensities are scaled so that the largest is 100.

The 8 most intense peaks (15 to 90 degrees two-theta), sorted by position:
2θ (°)	I (rel.)	hkl
18.1	57.4	1 0 -1
19.0	72.5	1 0 1
23.8	44.8	1 0 2
28.1	70.2	1 0 -3
29.0	98.6	0 1 2
30.4	100.0	1 1 -1
31.0	66.0	1 1 1
58.1	44.2	3 1 0

Cell and atoms:
Cell: 5.294 3.668 11.352 Å, 90.00 93.81 90.00°
Fractional coordinates of all 17 atoms:
1 Li 0.000 0.000 0.000
2 Sm 0.176 0.000 0.320
3 Sm 0.497 0.000 0.809
4 Sm 0.620 0.500 0.131
5 Sm 0.986 0.500 0.604
6 H 0.332 0.000 0.097
7 H 0.443 0.000 0.564
8 H 0.722 0.500 0.372
9 H 0.967 0.500 0.870
10 O 0.258 0.000 0.541
11 O 0.260 0.500 0.770
12 O 0.375 0.000 0.004
13 O 0.429 0.500 0.304
14 O 0.757 0.000 0.658
15 O 0.811 0.500 0.914
16 O 0.877 0.000 0.158
17 O 0.909 0.500 0.395

=====

# 2
Li2SnH10O8: computed X-ray powder pattern (copper Kα), based on a DFT-relaxed cell (GGA-PBE, Alexandria).
Intensities are scaled so that the largest is 100.

The 8 most intense peaks (15 to 90 degrees two-theta), sorted by position:
2θ (°)	I (rel.)	hkl
15.2	100.0	0 1 1
17.4	39.0	0 0 2
18.8	36.2	1 0 0
21.2	18.5	1 0 -2
22.0	37.0	1 1 -1
29.9	28.4	1 1 -3
31.4	27.1	1 2 0
39.1	23.2	1 2 2

Cell and atoms:
Cell: 4.977 7.125 10.740 Å, 90.00 108.30 90.00°
Fractional coordinates of all 42 atoms:
1 Li 0.113 0.217 0.175
2 Li 0.113 0.283 0.675
3 Li 0.887 0.717 0.325
4 Li 0.887 0.783 0.825
5 Sn 0.500 0.000 0.500
6 Sn 0.500 0.500 0.000
7 H 0.145 0.231 0.910
8 H 0.145 0.269 0.410
9 H 0.147 0.541 0.138
10 H 0.147 0.959 0.638
11 H 0.304 0.592 0.563
12 H 0.304 0.908 0.063
13 H 0.414 0.670 0.409
14 H 0.414 0.830 0.909
15 H 0.467 0.522 0.713
16 H 0.467 0.978 0.213
17 H 0.533 0.022 0.787
18 H 0.533 0.478 0.287
19 H 0.586 0.170 0.091
20 H 0.586 0.330 0.591
21 H 0.696 0.092 0.937
22 H 0.696 0.408 0.437
23 H 0.853 0.041 0.362
24 H 0.853 0.459 0.862
25 H 0.855 0.731 0.590
26 H 0.855 0.769 0.090
27 O 0.168 0.155 0.364
28 O 0.168 0.345 0.864
29 O 0.281 0.749 0.439
30 O 0.281 0.751 0.939
31 O 0.308 0.047 0.645
32 O 0.308 0.453 0.145
33 O 0.327 0.016 0.125
34 O 0.327 0.484 0.625
35 O 0.673 0.516 0.375
36 O 0.673 0.984 0.875
37 O 0.692 0.547 0.855
38 O 0.692 0.953 0.355
39 O 0.719 0.249 0.061
40 O 0.719 0.251 0.561
41 O 0.832 0.655 0.136
42 O 0.832 0.845 0.636

=====

# 3
Li2SnH6O6: computed X-ray powder pattern (copper Kα), based on a DFT-relaxed cell (GGA-PBE, Alexandria).
Intensities are scaled so that the largest is 100.

The 8 most intense peaks (15 to 90 degrees two-theta), sorted by position:
2θ (°)	I (rel.)	hkl
18.6	41.9	1 0 0
18.8	100.0	0 1 1
19.3	41.3	0 0 2
20.7	27.0	1 0 -2
23.6	53.1	1 1 -1
32.1	55.8	1 0 2
37.8	15.4	2 0 0
38.9	28.4	1 2 -2

Cell and atoms:
Cell: 5.215 5.493 10.050 Å, 90.00 113.83 90.00°
Fractional coordinates of all 30 atoms:
1 Li 0.055 0.248 0.153
2 Li 0.055 0.252 0.653
3 Li 0.945 0.748 0.347
4 Li 0.945 0.752 0.847
5 Sn 0.500 0.000 0.000
6 Sn 0.500 0.500 0.500
7 H 0.003 0.674 0.623
8 H 0.003 0.826 0.123
9 H 0.345 0.566 0.073
10 H 0.345 0.934 0.573
11 H 0.445 0.750 0.267
12 H 0.445 0.750 0.767
13 H 0.555 0.250 0.233
14 H 0.555 0.250 0.733
15 H 0.655 0.066 0.427
16 H 0.655 0.434 0.927
17 H 0.997 0.174 0.877
18 H 0.997 0.326 0.377
19 O 0.111 0.084 0.834
20 O 0.111 0.416 0.334
21 O 0.264 0.733 0.054
22 O 0.264 0.767 0.554
23 O 0.413 0.249 0.632
24 O 0.413 0.251 0.132
25 O 0.587 0.749 0.868
26 O 0.587 0.751 0.368
27 O 0.736 0.233 0.446
28 O 0.736 0.267 0.946
29 O 0.889 0.584 0.666
30 O 0.889 0.916 0.166

=====

# 4
Li3TeHO4: computed X-ray powder pattern (copper Kα), based on a DFT-relaxed cell (GGA-PBE, Alexandria).
Intensities are scaled so that the largest is 100.

The 8 most intense peaks (15 to 90 degrees two-theta), sorted by position:
2θ (°)	I (rel.)	hkl
17.6	72.4	1 0 -1
19.8	100.0	0 1 1
22.3	69.6	1 1 0
27.8	26.0	0 2 0
28.4	30.1	0 0 2
30.0	30.8	1 1 1
30.3	49.2	1 1 -2
33.1	35.7	1 2 -1

Cell and atoms:
Cell: 5.526 6.426 6.823 Å, 90.00 113.14 90.00°
Fractional coordinates of all 18 atoms:
1 Li 0.218 0.250 0.152
2 Li 0.247 0.515 0.847
3 Li 0.247 0.985 0.847
4 Li 0.753 0.015 0.153
5 Li 0.753 0.485 0.153
6 Li 0.782 0.750 0.848
7 Te 0.322 0.750 0.314
8 Te 0.678 0.250 0.686
9 H 0.030 0.250 0.442
10 H 0.970 0.750 0.558
11 O 0.027 0.750 0.712
12 O 0.049 0.250 0.823
13 O 0.405 0.525 0.172
14 O 0.405 0.975 0.172
15 O 0.595 0.025 0.828
16 O 0.595 0.475 0.828
17 O 0.951 0.750 0.177
18 O 0.973 0.250 0.288